Diffraction record for Bi2BSb. The X-ray diffraction stick pattern is computed, not measured: it uses DFT lattice parameters and positions (PBE) and Cu Kα X-rays.

Cell: 6.8476 6.8476 9.9666 Å, 90.00 90.00 90.00°
Space group I-42d (No. 122)
Asymmetric unit:
Bi (0.1691, 0.2500, 0.1250) [8 per cell]
B (0.0000, 0.0000, 0.0000) [4 per cell]
Sb (0.0000, 0.0000, 0.5000) [4 per cell]

Top 10 peaks for 5° ≤ 2θ ≤ 70°, most intense first:
d 3.473, 2θ = 25.65°, I = 100.0, (1 1 2); d 2.927, 2θ = 30.54°, I = 55.8, (2 1 1); d 2.015, 2θ = 45.00°, I = 30.4, (2 0 4); d 1.649, 2θ = 55.75°, I = 18.8, (3 2 3); d 2.225, 2θ = 40.55°, I = 17.0, (3 0 1); d 2.421, 2θ = 37.14°, I = 15.8, (2 2 0); d 1.986, 2θ = 45.68°, I = 15.5, (3 1 2); d 2.989, 2θ = 29.89°, I = 15.1, (1 0 3); d 2.252, 2θ = 40.04°, I = 13.5, (2 1 3); d 1.866, 2θ = 48.82°, I = 11.7, (3 2 1)



Diffraction record for BiBSe2. The X-ray diffraction stick pattern is computed, not measured: it uses DFT lattice parameters and positions (PBE) and Cu Kα X-rays.

Cell: 8.9778 9.7046 7.6480 Å, 90.00 120.98 90.00°
Space group C2/m (No. 12)
Asymmetric unit:
Bi (0.1638, 0.0000, 0.4820) [4 per cell]
B (0.0000, 0.4134, 0.0000) [4 per cell]
Se (0.1792, 0.3029, 0.2228) [8 per cell]

Top 10 peaks for 5° ≤ 2θ ≤ 70°, most intense first:
d 5.739, 2θ = 15.44°, I = 100.0, (1 1 -1); d 3.900, 2θ = 22.80°, I = 93.7, (0 2 1); d 6.557, 2θ = 13.50°, I = 84.2, (0 0 1); d 2.717, 2θ = 32.97°, I = 79.8, (0 2 2); d 4.473, 2θ = 19.85°, I = 72.5, (2 0 -1); d 2.740, 2θ = 32.68°, I = 50.4, (3 1 -2); d 2.870, 2θ = 31.17°, I = 50.2, (2 2 -2); d 2.833, 2θ = 31.58°, I = 41.1, (3 1 -1); d 2.010, 2θ = 45.10°, I = 36.3, (3 3 0); d 2.531, 2θ = 35.47°, I = 34.5, (1 3 1)



Diffraction record for SiBiBTe. The X-ray diffraction stick pattern is computed, not measured: it uses DFT lattice parameters and positions (PBE) and Cu Kα X-rays.

Cell: 3.3554 3.9006 15.6730 Å, 90.00 90.00 90.00°
Space group Imm2 (No. 44)
Asymmetric unit:
Si (0.0000, 0.0000, 0.0000) [2 per cell]
Bi (0.0000, 0.0000, 0.3453) [2 per cell]
B (0.0000, 0.5000, 0.4372) [2 per cell]
Te (0.0000, 0.5000, 0.1146) [2 per cell]

Top 10 peaks for 5° ≤ 2θ ≤ 70°, most intense first:
d 2.419, 2θ = 37.16°, I = 100.0, (1 1 2); d 3.126, 2θ = 28.56°, I = 95.0, (0 1 3); d 3.918, 2θ = 22.69°, I = 73.5, (0 0 4); d 3.281, 2θ = 27.18°, I = 73.3, (1 0 1); d 3.785, 2θ = 23.50°, I = 57.6, (0 1 1); d 1.822, 2θ = 50.05°, I = 49.2, (1 1 6); d 2.823, 2θ = 31.69°, I = 37.7, (1 0 3); d 1.677, 2θ = 54.74°, I = 32.4, (2 0 0); d 2.291, 2θ = 39.33°, I = 32.3, (1 0 5); d 7.837, 2θ = 11.29°, I = 22.7, (0 0 2)



Diffraction record for SiBiBTe. The X-ray diffraction stick pattern is computed, not measured: it uses DFT lattice parameters and positions (PBE) and Cu Kα X-rays.

Cell: 3.3884 3.3586 9.0522 Å, 90.00 90.40 90.00°
Space group Pm (No. 6)
Asymmetric unit:
Si (0.0000, 0.0000, 0.0000) [1 per cell]
Bi (0.0059, 0.0000, 0.2971) [1 per cell]
B (0.9985, 0.5000, 0.8818) [1 per cell]
Te (0.4954, 0.5000, 0.7187) [1 per cell]

Top 10 peaks for 5° ≤ 2θ ≤ 70°, most intense first:
d 3.149, 2θ = 28.34°, I = 100.0, (0 1 1); d 4.526, 2θ = 19.61°, I = 80.7, (0 0 2); d 2.385, 2θ = 37.71°, I = 55.0, (1 1 0); d 3.181, 2θ = 28.05°, I = 48.3, (1 0 -1); d 3.166, 2θ = 28.19°, I = 46.0, (1 0 1); d 1.876, 2θ = 48.52°, I = 40.6, (1 0 4); d 2.245, 2θ = 40.17°, I = 37.9, (1 0 3); d 9.052, 2θ = 9.77°, I = 29.9, (0 0 1); d 3.017, 2θ = 29.61°, I = 27.6, (0 0 3); d 2.700, 2θ = 33.18°, I = 26.0, (1 0 2)



Diffraction record for ZrTcBiB2. The X-ray diffraction stick pattern is computed, not measured: it uses DFT lattice parameters and positions (PBE) and Cu Kα X-rays.

Cell: 4.2249 4.2249 5.2218 Å, 90.00 90.00 90.00°
Space group P4/mmm (No. 123)
Asymmetric unit:
Zr (0.0000, 0.0000, 0.0000) [1 per cell]
Tc (0.0000, 0.0000, 0.5000) [1 per cell]
Bi (0.5000, 0.5000, 0.0000) [1 per cell]
B (0.0000, 0.5000, 0.5000) [2 per cell]

Top 10 peaks for 5° ≤ 2θ ≤ 70°, most intense first:
d 2.987, 2θ = 29.91°, I = 100.0, (1 1 0); d 3.285, 2θ = 27.15°, I = 78.7, (1 0 1); d 1.966, 2θ = 46.18°, I = 61.7, (1 1 2); d 2.112, 2θ = 42.81°, I = 44.3, (2 0 0); d 2.593, 2θ = 34.59°, I = 43.0, (1 1 1); d 2.611, 2θ = 34.35°, I = 41.1, (0 0 2); d 5.222, 2θ = 16.98°, I = 40.4, (0 0 1); d 1.642, 2θ = 55.99°, I = 39.9, (2 0 2); d 1.777, 2θ = 51.43°, I = 28.5, (2 1 1); d 1.494, 2θ = 62.14°, I = 14.6, (2 2 0)



Diffraction record for Ti10Bi6B. The X-ray diffraction stick pattern is computed, not measured: it uses DFT lattice parameters and positions (PBE) and Cu Kα X-rays.

Cell: 8.2862 8.2862 5.5793 Å, 90.00 90.00 120.00°
Space group P-31m (No. 162)
Asymmetric unit:
Ti (0.0000, 0.2203, 0.2369) [6 per cell]
Ti (0.3333, 0.6667, 0.0000) [2 per cell]
Ti (0.3333, 0.6667, 0.5000) [2 per cell]
Bi (0.0000, 0.3932, 0.7461) [6 per cell]
B (0.0000, 0.0000, 0.0000) [1 per cell]

Top 10 peaks for 5° ≤ 2θ ≤ 70°, most intense first:
d 3.326, 2θ = 26.80°, I = 100.0, (1 1 1); d 2.439, 2θ = 36.85°, I = 80.8, (2 1 1); d 2.314, 2θ = 38.92°, I = 42.6, (2 -1 2); d 1.875, 2θ = 48.57°, I = 39.3, (3 1 1); d 2.392, 2θ = 37.60°, I = 33.3, (3 0 0); d 2.790, 2θ = 32.08°, I = 32.2, (0 0 2); d 4.143, 2θ = 21.45°, I = 23.5, (1 1 0); d 1.942, 2θ = 46.78°, I = 22.9, (4 -2 1); d 2.202, 2θ = 40.98°, I = 21.2, (2 0 2); d 3.588, 2θ = 24.81°, I = 19.0, (2 0 0)